The following is a calculated powder diffractogram of CaFe8O12. It was derived from a crystal structure in the Materials Project, relaxed with PBE+U, using a wavelength of 1.5418 Å.
No peak broadening, texture or thermal motion is included.

Most intense lines, 2θ = 5–70°, by angle:
10.09°, rel. 68, (0 0 1)
20.26°, rel. 99, (0 0 2)
27.47°, rel. 65, (0 1 -2)
28.49°, rel. 33, (1 0 -2)
32.35°, rel. 58, (1 1 -2)
33.05°, rel. 51, (0 2 0)
33.69°, rel. 57, (-1 1 2)
33.88°, rel. 100, (1 1 3)
34.19°, rel. 31, (1 2 0)
34.78°, rel. 74, (2 0 1)
42.15°, rel. 88, (1 -2 1)
42.52°, rel. 43, (2 2 1)

Cell and atoms:
Cell lengths 5.3445, 5.5805, 8.9376 Å; angles 82.19, 80.51, 77.52 degrees
Space group P1 (No. 1)
Inequivalent atoms, fractional coordinates:
1 Ca 0.0000 0.0000 0.0000
2 Fe 0.1640 0.2293 0.5724
3 Fe 0.1648 0.5288 0.8597
4 Fe 0.2083 0.7102 0.3630
5 Fe 0.2853 0.2316 0.2010
6 Fe 0.5723 0.0706 0.7918
7 Fe 0.6601 0.6040 0.6977
8 Fe 0.7147 0.0470 0.3952
9 Fe 0.7613 0.5436 0.2895
10 O 0.0617 0.9987 0.4676
11 O 0.0631 0.6702 0.1844
12 O 0.3375 0.2211 0.9708
13 O 0.3697 0.7571 0.8712
14 O 0.3789 0.4108 0.6782
15 O 0.4087 0.3695 0.3733
16 O 0.5124 0.8554 0.2674
17 O 0.5158 0.9577 0.6024
18 O 0.8514 0.7647 0.8270
19 O 0.8776 0.2657 0.7690
20 O 0.8799 0.2385 0.1994
21 O 0.8977 0.5350 0.4906